(1)
For InAs2PbO8, a cell relaxed with GGA-PBE gives the calculated powder diffractogram in this record (Cu Kα X-rays).
Peak positions follow from Bragg's law for the DFT cell and can differ from measured ones.

```
data_InAs2PbO8
_chemical_formula_sum 'In4 As8 Pb4 O32'
_symmetry_space_group_name_H-M 'P 1 21/c 1'
_symmetry_Int_Tables_number 14
_cell_length_a 5.1081
_cell_length_b 8.6668
_cell_length_c 16.4138
_cell_angle_alpha 90.00
_cell_angle_beta 104.26
_cell_angle_gamma 90.00
loop_
_symmetry_equiv_pos_as_xyz
'x,y,z'
'-x,-y,-z'
'-x,y+1/2,-z+1/2'
'x,-y+1/2,z+1/2'
loop_
_atom_site_label
_atom_site_type_symbol
_atom_site_fract_x
_atom_site_fract_y
_atom_site_fract_z
In1 In 0.1983 0.0508 0.3591
As1 As 0.1880 0.7042 0.0155
As2 As 0.4169 0.7387 0.2640
Pb1 Pb 0.2905 0.0238 0.8810
O1 O 0.0668 0.2361 0.4320
O2 O 0.0731 0.6546 0.9122
O3 O 0.1831 0.5888 0.2355
O4 O 0.2613 0.5853 0.7552
O5 O 0.3335 0.6109 0.5153
O6 O 0.3609 0.2453 0.8008
O7 O 0.3903 0.5609 0.0664
O8 O 0.4253 0.1736 0.1369
```

Top 10 peaks for 2θ from 10° to 90°, low angle first:
2θ/deg  d [Å]  I/Imax  index
18.63  4.762  35  1 0 -2
20.21  4.393  23  1 1 -1
23.39  3.804  74  1 0 2
27.09  3.292  29  1 1 -4
27.84  3.205  100  1 2 -2
29.41  3.037  16  1 1 3
30.51  2.930  75  0 2 4
34.21  2.621  27  1 0 -6
40.21  2.243  22  1 2 -6
43.36  2.087  17  2 2 -4

=====

(2)
For Th6Ga3Tc, a cell relaxed with GGA-PBE gives the calculated powder diffractogram in this record (Cu Kα X-rays).
Peak positions follow from Bragg's law for the DFT cell and can differ from measured ones.

```
data_Th6Ga3Tc
_chemical_formula_sum 'Th36 Ga18 Tc6'
_symmetry_space_group_name_H-M 'R -3'
_symmetry_Int_Tables_number 148
_symmetry_space_group_name_Hall '-R 3'
_cell_length_a 11.8479
_cell_length_b 11.8479
_cell_length_c 14.1240
_cell_angle_alpha 90.00
_cell_angle_beta 90.00
_cell_angle_gamma 120.00
loop_
_atom_site_label
_atom_site_type_symbol
_atom_site_fract_x
_atom_site_fract_y
_atom_site_fract_z
Th1 Th 0.0584 0.8550 0.3768
Th2 Th 0.0965 0.2168 0.1159
Ga1 Ga 0.0327 0.5526 0.4111
Tc1 Tc 0.0000 0.0000 0.0000
Tc2 Tc 0.0000 0.0000 0.5000
```

Top 10 peaks for 2θ from 10° to 90°, low angle first:
2θ/deg  d [Å]  I/Imax  index
23.79  3.740  21  3 -1 1
26.05  3.420  36  3 0 0
26.22  3.399  31  3 -2 2
26.70  3.339  44  1 0 4
32.08  2.790  49  1 3 1
32.35  2.767  100  3 0 3
34.35  2.611  33  3 -1 4
35.57  2.524  25  4 0 1
40.72  2.216  23  4 -3 4
45.97  1.974  26  3 3 0

=====

(3)
For KTlVI6, a cell relaxed with GGA-PBE gives the calculated powder diffractogram in this record (Cu Kα X-rays).
Peak positions follow from Bragg's law for the DFT cell and can differ from measured ones.

```
data_KTlVI6
_chemical_formula_sum 'K2 Tl2 V2 I12'
_symmetry_space_group_name_H-M 'C 1 2 1'
_symmetry_Int_Tables_number 5
_cell_length_a 8.3040
_cell_length_b 14.4322
_cell_length_c 6.7646
_cell_angle_alpha 90.00
_cell_angle_beta 90.01
_cell_angle_gamma 90.00
loop_
_symmetry_equiv_pos_as_xyz
'x,y,z'
'-x,y,-z'
'x+1/2,y+1/2,z'
'-x+1/2,y+1/2,-z'
loop_
_atom_site_label
_atom_site_type_symbol
_atom_site_fract_x
_atom_site_fract_y
_atom_site_fract_z
K1 K 0.0000 0.0000 0.0000
Tl1 Tl 0.0000 0.6661 0.5000
V1 V 0.0000 0.3328 0.0000
I1 I 0.1334 0.4664 0.7620
I2 I 0.1338 0.1992 0.7621
I3 I 0.2313 0.8326 0.7632
```

Top 10 peaks for 2θ from 10° to 90°, low angle first:
2θ/deg  d [Å]  I/Imax  index
12.29  7.204  28  0 2 0
17.99  4.931  44  0 2 1
24.72  3.602  18  2 2 0
25.14  3.543  100  2 0 -1
29.17  3.062  18  1 1 2
34.17  2.624  49  1 3 -2
35.54  2.526  60  3 1 1
37.45  2.401  27  3 3 0
45.77  1.982  19  2 0 3
52.68  1.737  15  2 4 3